K3V2Cl3F4: calculated powder diffractogram (λ = 1.5418 Å (Cu Kα)), based on DFT lattice parameters and positions (PBE+U).
Kinematic intensities with the Lorentz-polarization factor, no thermal factor.

Atomic structure:
Cell: 12.349 12.349 12.349 Å, 160.30 156.50 30.85°
Positions (direct):
K 0.000 0.000 0.000
K 0.195 0.195 0.000
K 0.805 0.805 0.000
V 0.389 0.389 0.000
V 0.611 0.611 0.000
Cl 0.102 0.602 0.500
Cl 0.500 0.500 0.000
Cl 0.898 0.398 0.500
F 0.301 0.301 0.000
F 0.386 0.886 0.500
F 0.614 0.114 0.500
F 0.699 0.699 0.000

Most intense lines, 2θ = 10–90°, sorted by position:
d [Å]  I_rel
5.952  48.9
4.159  36.2
3.235  86.8
3.160  71.6
2.842  39.5
2.515  100.0
2.507  53.3
2.381  66.6
2.112  56.1
1.918  35.2
1.729  43.5
1.617  42.6